Structure and calculated X-ray diffraction stick pattern of K2CeNb5O15 (DFT lattice parameters and positions (PBE); Cu Ka).

Top 12 peaks for 10° ≤ 2θ ≤ 90°, in order of falling intensity:
- 31.58°, rel. 100
- 28.79°, rel. 55
- 31.29°, rel. 49
- 55.87°, rel. 49
- 25.11°, rel. 46
- 13.85°, rel. 39
- 27.35°, rel. 38
- 29.95°, rel. 35
- 45.70°, rel. 35
- 22.39°, rel. 34
- 44.84°, rel. 30
- 33.89°, rel. 23

Structure:
```
K2CeNb5O15
1.0
12.7850 0.0000 0.0000
0.0000 12.7850 0.0000
0.0000 0.0000 3.9706
K Ce Nb O
4 2 10 30
direct
0.1705 0.3295 0.0000
0.3295 0.8295 0.0000
0.6705 0.1705 0.0000
0.8295 0.6705 0.0000
0.0000 0.0000 0.0000
0.5000 0.5000 0.0000
0.0000 0.5000 0.5000
0.0761 0.7865 0.5000
0.2135 0.0761 0.5000
0.2865 0.5761 0.5000
0.4239 0.2865 0.5000
0.5000 0.0000 0.5000
0.5761 0.7135 0.5000
0.7135 0.4239 0.5000
0.7865 0.9239 0.5000
0.9239 0.2135 0.5000
0.0000 0.5000 0.0000
0.0018 0.3422 0.5000
0.0601 0.1307 0.5000
0.0762 0.8099 0.0000
0.1307 0.9399 0.5000
0.1578 0.4982 0.5000
0.1901 0.0762 0.0000
0.2157 0.7157 0.5000
0.2843 0.2157 0.5000
0.3099 0.5762 0.0000
0.3422 0.9982 0.5000
0.3693 0.4399 0.5000
0.4238 0.3099 0.0000
0.4399 0.6307 0.5000
0.4982 0.8422 0.5000
0.5000 0.0000 0.0000
0.5018 0.1578 0.5000
0.5601 0.3693 0.5000
0.5762 0.6901 0.0000
0.6307 0.5601 0.5000
0.6578 0.0018 0.5000
0.6901 0.4238 0.0000
0.7157 0.7843 0.5000
0.7843 0.2843 0.5000
0.8099 0.9238 0.0000
0.8422 0.5018 0.5000
0.8693 0.0601 0.5000
0.9238 0.1901 0.0000
0.9399 0.8693 0.5000
0.9982 0.6578 0.5000
```



Structure and calculated X-ray diffraction stick pattern of KCeNb2O6 (DFT lattice parameters and positions (PBE); Cu Ka).

Top 12 peaks for 10° ≤ 2θ ≤ 90°, in order of falling intensity:
- 31.22°, rel. 100
- 55.56°, rel. 39
- 44.74°, rel. 34
- 65.12°, rel. 20
- 18.97°, rel. 19
- 73.99°, rel. 16
- 36.79°, rel. 11
- 82.47°, rel. 7
- 49.00°, rel. 5
- 59.26°, rel. 4
- 68.51°, rel. 4
- 21.94°, rel. 3

Structure:
```
KCeNb2O6
1.0
0.0000 4.0515 4.0515
4.0515 0.0000 4.0515
4.0515 4.0515 0.0000
K Ce Nb O
1 1 2 6
direct
0.0000 0.0000 0.0000
0.5000 0.5000 0.5000
0.2500 0.2500 0.2500
0.7500 0.7500 0.7500
0.0000 0.0000 0.5000
0.0000 0.5000 0.0000
0.0000 0.5000 0.5000
0.5000 0.0000 0.0000
0.5000 0.0000 0.5000
0.5000 0.5000 0.0000
```



Structure and calculated X-ray diffraction stick pattern of KCeNb4O12 (DFT lattice parameters and positions (PBE); Cu Ka).

Top 12 peaks for 10° ≤ 2θ ≤ 90°, in order of falling intensity:
- 31.78°, rel. 100
- 31.91°, rel. 100
- 31.64°, rel. 97
- 19.30°, rel. 94
- 56.61°, rel. 43
- 56.86°, rel. 43
- 56.36°, rel. 41
- 45.17°, rel. 40
- 22.14°, rel. 38
- 45.55°, rel. 38
- 22.32°, rel. 36
- 45.95°, rel. 35

Structure:
```
KCeNb4O12
1.0
7.9663 0.0000 0.0000
0.0000 3.9505 4.0146
0.0000 -3.9505 4.0146
K Ce Nb O
1 1 4 12
direct
0.0000 0.0000 0.0000
0.5000 0.4905 0.4905
0.2488 0.4936 0.9894
0.2488 0.9894 0.4936
0.7512 0.4936 0.9894
0.7512 0.9894 0.4936
0.0000 0.0159 0.4736
0.0000 0.4736 0.0159
0.2308 0.7734 0.7734
0.2682 0.2807 0.7138
0.2682 0.7138 0.2807
0.2954 0.2370 0.2370
0.5000 0.5327 0.9497
0.5000 0.9497 0.5327
0.7046 0.2370 0.2370
0.7318 0.2807 0.7138
0.7318 0.7138 0.2807
0.7692 0.7734 0.7734
```



Structure and calculated X-ray diffraction stick pattern of KCeNbSnO6 (DFT lattice parameters and positions (PBE); Cu Ka).

Top 12 peaks for 10° ≤ 2θ ≤ 90°, in order of falling intensity:
- 29.72°, rel. 100
- 52.75°, rel. 40
- 42.54°, rel. 34
- 85.47°, rel. 22
- 61.73°, rel. 21
- 69.99°, rel. 18
- 18.07°, rel. 12
- 20.90°, rel. 11
- 35.01°, rel. 9
- 77.85°, rel. 7
- 46.57°, rel. 5
- 47.85°, rel. 4

Structure:
```
KCeNbSnO6
1.0
0.0000 4.2506 4.2506
4.2506 0.0000 4.2506
4.2506 4.2506 0.0000
K Ce Nb Sn O
1 1 1 1 6
direct
0.0000 0.0000 0.0000
0.2500 0.2500 0.2500
0.7500 0.7500 0.7500
0.5000 0.5000 0.5000
0.5130 0.5130 0.9870
0.5130 0.9870 0.5130
0.5130 0.9870 0.9870
0.9870 0.5130 0.5130
0.9870 0.5130 0.9870
0.9870 0.9870 0.5130
```



Structure and calculated X-ray diffraction stick pattern of KCeNbSnO6 (DFT lattice parameters and positions (PBE); Cu Ka).

Top 12 peaks for 10° ≤ 2θ ≤ 90°, in order of falling intensity:
- 29.69°, rel. 100
- 52.65°, rel. 27
- 42.43°, rel. 23
- 85.28°, rel. 14
- 61.68°, rel. 14
- 52.75°, rel. 13
- 69.81°, rel. 12
- 42.59°, rel. 11
- 20.87°, rel. 11
- 14.70°, rel. 9
- 85.46°, rel. 7
- 61.56°, rel. 7

Structure:
```
KCeNbSnO6
1.0
6.0261 0.0000 0.0000
0.0000 6.0261 0.0000
0.0000 0.0000 8.4914
K Ce Nb Sn O
2 2 2 2 12
direct
0.0000 0.0000 0.2500
0.0000 0.0000 0.7500
0.0000 0.5000 0.0000
0.5000 0.0000 0.5000
0.0000 0.5000 0.5000
0.5000 0.0000 0.0000
0.5000 0.5000 0.2500
0.5000 0.5000 0.7500
0.0000 0.5000 0.2628
0.0000 0.5000 0.7372
0.2453 0.2710 0.5000
0.2453 0.7290 0.5000
0.2710 0.2453 0.0000
0.2710 0.7547 0.0000
0.5000 0.0000 0.2372
0.5000 0.0000 0.7628
0.7290 0.2453 0.0000
0.7290 0.7547 0.0000
0.7547 0.2710 0.5000
0.7547 0.7290 0.5000
```



Structure and calculated X-ray diffraction stick pattern of KSrCeNbO6 (DFT lattice parameters and positions (PBE); Cu Ka).

Top 12 peaks for 10° ≤ 2θ ≤ 90°, in order of falling intensity:
- 29.71°, rel. 100
- 52.72°, rel. 40
- 42.51°, rel. 35
- 20.89°, rel. 22
- 61.68°, rel. 21
- 85.41°, rel. 21
- 69.95°, rel. 17
- 47.82°, rel. 9
- 77.79°, rel. 7
- 18.06°, rel. 6
- 34.99°, rel. 5
- 65.88°, rel. 4

Structure:
```
KSrCeNbO6
1.0
0.0000 4.2531 4.2531
4.2531 0.0000 4.2531
4.2531 4.2531 0.0000
K Sr Ce Nb O
1 1 1 1 6
direct
0.0000 0.0000 0.0000
0.5000 0.5000 0.5000
0.2500 0.2500 0.2500
0.7500 0.7500 0.7500
0.5128 0.5128 0.9872
0.5128 0.9872 0.5128
0.5128 0.9872 0.9872
0.9872 0.5128 0.5128
0.9872 0.5128 0.9872
0.9872 0.9872 0.5128
```



Q: What is the formula in the first record?
A: K2CeNb5O15